# 1
The following is a theoretical powder diffractogram of NaCd6Pb. It was derived from DFT lattice parameters and positions (PBE), using a wavelength of 1.5418 Å.

Principal peaks in the range 2θ from 15° to 90°, in order of rising 2θ:
- 3.889 Å, 2θ 22.9, I = 103
- 3.069 Å, 2θ 29.1, I = 142
- 2.667 Å, 2θ 33.6, I = 297
- 2.619 Å, 2θ 34.2, I = 1000
- 2.591 Å, 2θ 34.6, I = 150
- 2.514 Å, 2θ 35.7, I = 327
- 2.466 Å, 2θ 36.4, I = 108
- 2.303 Å, 2θ 39.1, I = 154
- 1.606 Å, 2θ 57.4, I = 107
- 1.471 Å, 2θ 63.2, I = 162
- 1.353 Å, 2θ 69.5, I = 119
- 1.343 Å, 2θ 70.0, I = 102

Structure:
```
NaCd6Pb
1.0
5.0279 0.0000 0.0000
0.0000 3.8089 5.1810
0.0000 -3.8089 5.1810
Na Cd Pb
1 6 1
direct
0.0000 0.0000 0.0000
0.0000 0.0828 0.4835
0.0000 0.4835 0.0828
0.0000 0.5624 0.5624
0.5000 0.1907 0.1907
0.5000 0.2708 0.6882
0.5000 0.6882 0.2708
0.5000 0.7618 0.7618
```



# 2
The following is a theoretical powder diffractogram of YSc3Co. It was derived from DFT lattice parameters and positions (PBE), using a wavelength of 1.5418 Å.

Principal peaks in the range 2θ from 15° to 90°, in order of rising 2θ:
- 4.089 Å, 2θ 21.7, I = 491
- 3.858 Å, 2θ 23.1, I = 433
- 2.828 Å, 2θ 31.6, I = 213
- 2.699 Å, 2θ 33.2, I = 1000
- 2.572 Å, 2θ 34.9, I = 862
- 2.440 Å, 2θ 36.8, I = 675
- 2.411 Å, 2θ 37.3, I = 692
- 2.269 Å, 2θ 39.7, I = 411
- 1.963 Å, 2θ 46.3, I = 283
- 1.929 Å, 2θ 47.1, I = 244
- 1.543 Å, 2θ 59.9, I = 222
- 1.506 Å, 2θ 61.6, I = 207

Structure:
```
YSc3Co
1.0
4.8222 0.0000 0.0000
0.0000 7.7152 0.0000
0.0000 0.0000 6.0802
Y Sc Co
2 6 2
direct
0.2500 0.2500 0.0964
0.7500 0.7500 0.9036
0.2500 0.5415 0.6723
0.2500 0.7500 0.2294
0.2500 0.9585 0.6723
0.7500 0.0415 0.3277
0.7500 0.2500 0.7706
0.7500 0.4585 0.3277
0.2500 0.2500 0.5481
0.7500 0.7500 0.4519
```



# 3
The following is a theoretical powder diffractogram of Al2Cu8Ni. It was derived from DFT lattice parameters and positions (PBE), using a wavelength of 1.5418 Å.

Principal peaks in the range 2θ from 15° to 90°, in order of rising 2θ:
- 3.510 Å, 2θ 25.4, I = 116
- 3.362 Å, 2θ 26.5, I = 46
- 3.006 Å, 2θ 29.7, I = 84
- 2.648 Å, 2θ 33.9, I = 61
- 2.344 Å, 2θ 38.4, I = 46
- 2.080 Å, 2θ 43.5, I = 1000
- 1.872 Å, 2θ 48.6, I = 381
- 1.681 Å, 2θ 54.6, I = 98
- 1.324 Å, 2θ 71.2, I = 111
- 1.251 Å, 2θ 76.1, I = 135
- 1.138 Å, 2θ 85.3, I = 39
- 1.117 Å, 2θ 87.3, I = 233

Structure:
```
Al2Cu8Ni
1.0
3.7446 0.0000 0.0000
0.0000 3.7446 0.0000
0.0000 0.0000 10.0865
Al Cu Ni
2 8 1
direct
0.0000 0.0000 0.1821
0.0000 0.0000 0.8179
0.0000 0.5000 0.0000
0.0000 0.5000 0.3536
0.0000 0.5000 0.6464
0.5000 0.0000 0.0000
0.5000 0.0000 0.3536
0.5000 0.0000 0.6464
0.5000 0.5000 0.1744
0.5000 0.5000 0.8256
0.0000 0.0000 0.5000
```



# 4
The following is a theoretical powder diffractogram of Tb3HoAu4. It was derived from DFT lattice parameters and positions (PBE), using a wavelength of 1.5418 Å.

Principal peaks in the range 2θ from 15° to 90°, in order of rising 2θ:
- 3.619 Å, 2θ 24.6, I = 14
- 2.559 Å, 2θ 35.1, I = 506
- 2.547 Å, 2θ 35.2, I = 1000
- 1.809 Å, 2θ 50.4, I = 182
- 1.793 Å, 2θ 50.9, I = 89
- 1.475 Å, 2θ 63.0, I = 375
- 1.468 Å, 2θ 63.3, I = 185
- 1.279 Å, 2θ 74.1, I = 59
- 1.273 Å, 2θ 74.5, I = 116
- 1.144 Å, 2θ 84.7, I = 85
- 1.143 Å, 2θ 84.8, I = 85
- 1.135 Å, 2θ 85.6, I = 84

Structure:
```
Tb3HoAu4
1.0
3.5852 0.0000 0.0000
0.0000 5.1176 0.0000
0.0000 0.0000 10.2367
Tb Ho Au
3 1 4
direct
0.0000 0.0000 0.0000
0.0000 0.5000 0.2506
0.0000 0.5000 0.7494
0.0000 0.0000 0.5000
0.5000 0.0000 0.2528
0.5000 0.0000 0.7472
0.5000 0.5000 0.0000
0.5000 0.5000 0.5000
```



# 5
The following is a theoretical powder diffractogram of K3UTl2S6. It was derived from DFT lattice parameters and positions (PBE), using a wavelength of 1.5418 Å.

Principal peaks in the range 2θ from 15° to 90°, in order of rising 2θ:
- 3.670 Å, 2θ 24.3, I = 212
- 3.652 Å, 2θ 24.4, I = 431
- 3.586 Å, 2θ 24.8, I = 284
- 3.509 Å, 2θ 25.4, I = 787
- 3.064 Å, 2θ 29.1, I = 505
- 3.051 Å, 2θ 29.3, I = 1000
- 2.811 Å, 2θ 31.8, I = 252
- 2.365 Å, 2θ 38.1, I = 218
- 2.178 Å, 2θ 41.5, I = 530
- 2.146 Å, 2θ 42.1, I = 344
- 2.056 Å, 2θ 44.0, I = 235
- 1.845 Å, 2θ 49.4, I = 178

Structure:
```
K3UTl2S6
1.0
3.7231 -6.4109 0.0000
3.7231 6.4109 0.0000
-2.4980 0.0000 7.1715
K U Tl S
3 1 2 6
direct
0.0000 0.0000 0.0000
0.3224 0.6776 0.0000
0.6776 0.3224 0.0000
0.5000 0.5000 0.5000
0.1649 0.8351 0.5000
0.8351 0.1649 0.5000
0.1438 0.4313 0.2922
0.2878 0.2878 0.7088
0.4313 0.1438 0.2922
0.5687 0.8562 0.7078
0.7121 0.7121 0.2912
0.8562 0.5687 0.7078
```



# 6
The following is a theoretical powder diffractogram of RbLiZnHSe. It was derived from DFT lattice parameters and positions (PBE), using a wavelength of 1.5418 Å.

Principal peaks in the range 2θ from 15° to 90°, in order of rising 2θ:
- 4.673 Å, 2θ 19.0, I = 376
- 4.133 Å, 2θ 21.5, I = 850
- 3.202 Å, 2θ 27.9, I = 339
- 3.179 Å, 2θ 28.1, I = 206
- 2.914 Å, 2θ 30.7, I = 1000
- 2.798 Å, 2θ 32.0, I = 750
- 2.754 Å, 2θ 32.5, I = 267
- 2.700 Å, 2θ 33.2, I = 385
- 2.159 Å, 2θ 41.8, I = 315
- 1.999 Å, 2θ 45.4, I = 357
- 1.942 Å, 2θ 46.8, I = 288
- 1.676 Å, 2θ 54.8, I = 235

Structure:
```
RbLiZnHSe
1.0
5.7053 -2.1592 0.0000
5.7053 2.1592 0.0000
-1.2590 0.0000 4.6735
Rb Li Zn H Se
1 1 1 1 1
direct
0.0000 0.0000 0.0000
0.6652 0.6652 0.6390
0.3198 0.3198 0.4632
0.4763 0.4763 0.5563
0.7416 0.7416 0.1902
```



# 7
The following is a theoretical powder diffractogram of La2YTl3. It was derived from DFT lattice parameters and positions (PBE), using a wavelength of 1.5418 Å.

Principal peaks in the range 2θ from 15° to 90°, in order of rising 2θ:
- 3.336 Å, 2θ 26.7, I = 476
- 3.218 Å, 2θ 27.7, I = 545
- 2.912 Å, 2θ 30.7, I = 1000
- 2.839 Å, 2θ 31.5, I = 740
- 2.811 Å, 2θ 31.8, I = 616
- 2.623 Å, 2θ 34.2, I = 375
- 2.545 Å, 2θ 35.3, I = 849
- 2.511 Å, 2θ 35.8, I = 481
- 2.462 Å, 2θ 36.5, I = 575
- 1.919 Å, 2θ 47.4, I = 329
- 1.698 Å, 2θ 54.0, I = 366
- 1.513 Å, 2θ 61.3, I = 368

Structure:
```
La2YTl3
1.0
1.9185 -14.7709 0.0000
1.9185 14.7709 0.0000
0.0000 0.0000 6.8481
La Y Tl
4 2 6
direct
0.0066 0.9934 0.7500
0.1567 0.8433 0.2500
0.8433 0.1567 0.7500
0.9934 0.0066 0.2500
0.3339 0.6661 0.2500
0.6661 0.3339 0.7500
0.2508 0.7492 0.7500
0.4215 0.5785 0.5138
0.4215 0.5785 0.9862
0.5785 0.4215 0.0138
0.5785 0.4215 0.4862
0.7492 0.2508 0.2500
```



# 8
The following is a theoretical powder diffractogram of Tl3Cu2Br8. It was derived from DFT lattice parameters and positions (PBE), using a wavelength of 1.5418 Å.

Principal peaks in the range 2θ from 15° to 90°, in order of rising 2θ:
- 4.255 Å, 2θ 20.9, I = 599
- 3.586 Å, 2θ 24.8, I = 1000
- 3.245 Å, 2θ 27.5, I = 410
- 3.038 Å, 2θ 29.4, I = 583
- 2.858 Å, 2θ 31.3, I = 522
- 2.742 Å, 2θ 32.7, I = 654
- 2.643 Å, 2θ 33.9, I = 548
- 2.178 Å, 2θ 41.5, I = 273
- 1.830 Å, 2θ 49.8, I = 312
- 1.793 Å, 2θ 50.9, I = 497
- 1.711 Å, 2θ 53.6, I = 261
- 1.569 Å, 2θ 58.8, I = 287

Structure:
```
Tl3Cu2Br8
1.0
3.5863 2.0705 9.7358
-3.5863 2.0705 9.7358
0.0000 -4.1411 9.7358
Tl Cu Br
3 2 8
direct
0.0000 0.0000 0.0000
0.2101 0.2101 0.2101
0.7899 0.7899 0.7899
0.3993 0.3993 0.3993
0.6007 0.6007 0.6007
0.2200 0.7377 0.7377
0.2623 0.2623 0.7800
0.2623 0.7800 0.2623
0.3186 0.3186 0.3186
0.6814 0.6814 0.6814
0.7377 0.2200 0.7377
0.7377 0.7377 0.2200
0.7800 0.2623 0.2623
```



# 9
The following is a theoretical powder diffractogram of La6Tb2NdMg. It was derived from DFT lattice parameters and positions (PBE), using a wavelength of 1.5418 Å.

Principal peaks in the range 2θ from 15° to 90°, in order of rising 2θ:
- 3.378 Å, 2θ 26.4, I = 265
- 3.251 Å, 2θ 27.4, I = 336
- 3.044 Å, 2θ 29.3, I = 1000
- 2.994 Å, 2θ 29.8, I = 523
- 2.939 Å, 2θ 30.4, I = 334
- 2.892 Å, 2θ 30.9, I = 454
- 2.851 Å, 2θ 31.4, I = 579
- 2.838 Å, 2θ 31.5, I = 589
- 2.681 Å, 2θ 33.4, I = 197
- 2.604 Å, 2θ 34.4, I = 257
- 1.876 Å, 2θ 48.5, I = 157
- 1.533 Å, 2θ 60.4, I = 152

Structure:
```
La6Tb2NdMg
1.0
5.3401 -6.9228 0.0000
5.3401 6.9228 0.0000
-1.5823 0.0000 9.3870
La Tb Nd Mg
12 4 2 2
direct
0.0438 0.4650 0.6709
0.0618 0.8228 0.9011
0.1772 0.9382 0.5989
0.2405 0.5794 0.0819
0.4206 0.7595 0.4181
0.4650 0.0438 0.1709
0.5350 0.9562 0.8291
0.5794 0.2405 0.5819
0.7595 0.4206 0.9181
0.8228 0.0618 0.4011
0.9382 0.1772 0.0989
0.9562 0.5350 0.3291
0.2354 0.3006 0.4037
0.3006 0.2354 0.9037
0.6994 0.7646 0.0963
0.7646 0.6994 0.5963
0.4298 0.5702 0.7500
0.5702 0.4298 0.2500
0.0967 0.9033 0.2500
0.9033 0.0967 0.7500
```



# 10
The following is a theoretical powder diffractogram of Ac2AlBRh6. It was derived from DFT lattice parameters and positions (PBE), using a wavelength of 1.5418 Å.

Principal peaks in the range 2θ from 15° to 90°, in order of rising 2θ:
- 4.497 Å, 2θ 19.7, I = 159
- 3.182 Å, 2θ 28.0, I = 270
- 2.602 Å, 2θ 34.5, I = 893
- 2.591 Å, 2θ 34.6, I = 886
- 2.249 Å, 2θ 40.1, I = 1000
- 1.595 Å, 2θ 57.8, I = 109
- 1.590 Å, 2θ 58.0, I = 434
- 1.585 Å, 2θ 58.2, I = 108
- 1.358 Å, 2θ 69.2, I = 326
- 1.354 Å, 2θ 69.4, I = 326
- 1.301 Å, 2θ 72.7, I = 106
- 1.295 Å, 2θ 73.0, I = 106

Structure:
```
Ac2AlBRh6
1.0
-3.1701 3.1900 4.4968
3.1701 -3.1900 4.4968
3.1701 3.1900 -4.4968
Ac Al B Rh
2 1 1 6
direct
0.2494 0.2494 0.0000
0.7506 0.7506 0.0000
0.0000 0.5000 0.5000
0.5000 0.0000 0.5000
0.2683 0.2332 0.5015
0.2683 0.7668 0.0351
0.2676 0.7676 0.5000
0.7324 0.2324 0.5000
0.7317 0.2332 0.9649
0.7317 0.7668 0.4985
```



Question: What is the formula in the first record?
Answer: NaCd6Pb